Simulated powder XRD pattern
Compound: BaNaRuO4
Radiation: Cu Ka
Structure: DFT lattice parameters and positions (GGA-PBE)
Peak positions follow from Bragg's law for the DFT cell and can differ from measured ones.

Most intense lines, 2θ from 5° to 70°, low angle first:
- 13.5°, d 6.577, rel. 57
- 23.4°, d 3.802, rel. 39
- 30.4°, d 2.944, rel. 100
- 31.9°, d 2.808, rel. 62
- 41.2°, d 2.193, rel. 36
- 45.7°, d 1.986, rel. 34
- 55.9°, d 1.646, rel. 41
- 63.2°, d 1.472, rel. 29

Atomic structure:
```
BaNaRuO4
1.0
-1.986 1.986 6.577
1.986 -1.986 6.577
1.986 1.986 -6.577
Ba Na Ru O
1 1 1 4
Direct
0.000 0.000 0.000
0.715 0.715 0.000
0.343 0.343 0.000
0.198 0.198 0.000
0.348 0.848 0.500
0.497 0.497 0.000
0.848 0.348 0.500
```

=====

Simulated powder XRD pattern
Compound: Ba4NaRu3O12
Radiation: Cu Ka
Structure: DFT lattice parameters and positions (GGA-PBE)
Peak positions follow from Bragg's law for the DFT cell and can differ from measured ones.

Most intense lines, 2θ from 5° to 70°, low angle first:
- 28.9°, d 3.092, rel. 42
- 30.4°, d 2.938, rel. 100
- 32.7°, d 2.736, rel. 42
- 42.4°, d 2.130, rel. 27
- 45.3°, d 2.002, rel. 25
- 54.1°, d 1.696, rel. 20
- 55.5°, d 1.654, rel. 20
- 63.3°, d 1.469, rel. 19

Atomic structure:
```
Ba4NaRu3O12
1.0
5.876 0.000 0.000
-2.938 5.088 0.000
0.000 0.000 19.469
Ba Na Ru O
8 2 6 24
Direct
0.000 0.000 0.000
0.000 0.000 0.500
0.333 0.667 0.128
0.333 0.667 0.382
0.333 0.667 0.756
0.667 0.333 0.256
0.667 0.333 0.628
0.667 0.333 0.882
0.333 0.667 0.942
0.667 0.333 0.442
0.000 0.000 0.181
0.000 0.000 0.318
0.000 0.000 0.681
0.000 0.000 0.818
0.333 0.667 0.566
0.667 0.333 0.066
0.027 0.513 0.511
0.152 0.303 0.247
0.152 0.848 0.247
0.156 0.313 0.871
0.156 0.844 0.871
0.165 0.331 0.627
0.165 0.835 0.627
0.303 0.152 0.747
0.313 0.156 0.371
0.331 0.165 0.127
0.487 0.513 0.511
0.487 0.973 0.511
0.513 0.027 0.011
0.513 0.487 0.011
0.669 0.835 0.627
0.687 0.844 0.871
0.697 0.848 0.247
0.835 0.165 0.127
0.835 0.669 0.127
0.844 0.156 0.371
0.844 0.687 0.371
0.848 0.152 0.747
0.848 0.697 0.747
0.973 0.487 0.011
```

=====

Simulated powder XRD pattern
Compound: Ba5Na2Ru3O14
Radiation: Cu Ka
Structure: DFT lattice parameters and positions (GGA-PBE)
Peak positions follow from Bragg's law for the DFT cell and can differ from measured ones.

Most intense lines, 2θ from 5° to 70°, low angle first:
- 7.2°, d 12.354, rel. 35
- 27.6°, d 3.231, rel. 48
- 27.8°, d 3.214, rel. 99
- 29.8°, d 3.002, rel. 94
- 29.9°, d 2.989, rel. 88
- 30.3°, d 2.954, rel. 100
- 30.6°, d 2.922, rel. 41
- 30.7°, d 2.910, rel. 59

Atomic structure:
```
Ba5Na2Ru3O14
1.0
5.908 0.000 0.000
0.000 24.707 0.000
-2.927 0.000 5.213
Ba Na Ru O
10 4 6 28
Direct
0.004 0.000 0.474
0.011 0.329 0.529
0.322 0.721 0.121
0.332 0.106 0.144
0.336 0.415 0.191
0.664 0.915 0.809
0.668 0.606 0.856
0.678 0.221 0.879
0.989 0.829 0.471
0.996 0.500 0.526
0.326 0.263 0.190
0.335 0.568 0.183
0.665 0.068 0.817
0.674 0.763 0.810
0.006 0.163 0.517
0.323 0.858 0.139
0.340 0.970 0.146
0.660 0.470 0.854
0.677 0.358 0.861
0.994 0.663 0.483
0.001 0.821 0.984
0.032 0.014 0.989
0.074 0.223 0.382
0.178 0.629 0.826
0.180 0.916 0.296
0.181 0.915 0.843
0.183 0.197 0.860
0.239 0.107 0.631
0.288 0.655 0.453
0.366 0.412 0.706
0.463 0.814 0.444
0.468 0.815 0.973
0.492 0.509 0.005
0.494 0.511 0.541
0.506 0.011 0.459
0.508 0.009 0.995
0.532 0.315 0.027
0.537 0.314 0.556
0.634 0.912 0.294
0.712 0.155 0.547
0.761 0.607 0.369
0.817 0.697 0.140
0.819 0.415 0.157
0.820 0.416 0.704
0.822 0.129 0.174
0.926 0.723 0.618
0.968 0.514 0.011
0.999 0.321 0.016
```